Record 1
Diffraction record for RbYC4O12. The XRD peak list is computed, not measured: it uses the PBE geometry in the Materials Project and CuKα.

Structure:
```
data_RbYC4O12
_cell_length_a 11.7154
_cell_length_b 11.7154
_cell_length_c 8.4873
_cell_angle_alpha 90.00
_cell_angle_beta 90.00
_cell_angle_gamma 90.00
_symmetry_space_group_name_H-M 'I 41/a'
_symmetry_Int_Tables_number 88
loop_
_symmetry_equiv_pos_as_xyz
'x,y,z'
'-x,-y,-z'
'-y+3/4,x+1/4,z+1/4'
'y+3/4,-x+1/4,-z+1/4'
'-x+1/2,-y,z+1/2'
'x+1/2,y,-z+1/2'
'y+3/4,-x+3/4,z+3/4'
'-y+3/4,x+3/4,-z+3/4'
'x+1/2,y+1/2,z+1/2'
'-x+1/2,-y+1/2,-z+1/2'
'-y+1/4,x+3/4,z+3/4'
'y+1/4,-x+3/4,-z+3/4'
'-x,-y+1/2,z'
'x,y+1/2,-z'
'y+1/4,-x+1/4,z+1/4'
'-y+1/4,x+1/4,-z+1/4'
loop_
_atom_site_label
_atom_site_type_symbol
_atom_site_fract_x
_atom_site_fract_y
_atom_site_fract_z
Rb1 Rb 0.0000 0.2500 0.1250
Y1 Y 0.0000 0.2500 0.6250
C1 C 0.0047 0.4773 0.4139
O1 O 0.0070 0.0510 0.6942
O2 O 0.0090 0.3702 0.4004
O3 O 0.1989 0.4680 0.0926
```

Principal peaks in the range 2θ = 15–90°, low angle first:
d (Å), intensity, hkl
5.858, 100.0, 2 0 0
4.142, 28.6, 2 2 0
3.777, 53.6, 1 1 2
3.548, 19.1, 3 0 1
2.929, 60.9, 4 0 0
2.791, 61.0, 3 1 2
2.314, 35.9, 3 3 2
2.020, 40.6, 5 1 2
1.816, 22.2, 3 5 2
1.543, 21.8, 5 5 2

Record 2
Diffraction record for ScNiP. The XRD peak list is computed, not measured: it uses the PBE geometry in the Materials Project and CuKα.

Structure:
```
data_ScNiP
_cell_length_a 6.3368
_cell_length_b 3.7374
_cell_length_c 7.0944
_cell_angle_alpha 90.00
_cell_angle_beta 90.00
_cell_angle_gamma 90.00
_symmetry_space_group_name_H-M 'P n m a'
_symmetry_Int_Tables_number 62
loop_
_symmetry_equiv_pos_as_xyz
'x,y,z'
'-x,-y,-z'
'-x+1/2,-y,z+1/2'
'x+1/2,y,-z+1/2'
'x+1/2,-y+1/2,-z+1/2'
'-x+1/2,y+1/2,z+1/2'
'-x,y+1/2,-z'
'x,-y+1/2,z'
loop_
_atom_site_label
_atom_site_type_symbol
_atom_site_fract_x
_atom_site_fract_y
_atom_site_fract_z
Sc1 Sc 0.0212 0.2500 0.1843
Ni1 Ni 0.1402 0.2500 0.5608
P1 P 0.2338 0.7500 0.3811
```

Principal peaks in the range 2θ = 15–90°, low angle first:
d (Å), intensity, hkl
4.726, 37.6, 1 0 1
2.417, 61.4, 2 1 0
2.384, 100.0, 1 1 2
2.288, 87.4, 2 1 1
2.216, 31.1, 1 0 3
2.024, 42.2, 3 0 1
1.998, 86.5, 0 1 3
1.906, 23.9, 1 1 3
1.869, 54.1, 0 2 0
1.277, 27.9, 3 1 4

Record 3
Diffraction record for TbZn12. The XRD peak list is computed, not measured: it uses the PBE geometry in the Materials Project and CuKα.

Structure:
```
data_TbZn12
_cell_length_a 8.7507
_cell_length_b 8.7507
_cell_length_c 5.4041
_cell_angle_alpha 90.00
_cell_angle_beta 90.00
_cell_angle_gamma 90.00
_symmetry_space_group_name_H-M 'I 4/m m m'
_symmetry_Int_Tables_number 139
_symmetry_space_group_name_Hall '-I 4 2'
loop_
_atom_site_label
_atom_site_type_symbol
_atom_site_fract_x
_atom_site_fract_y
_atom_site_fract_z
Tb1 Tb 0.0000 0.0000 0.0000
Zn1 Zn 0.0000 0.2181 0.5000
Zn2 Zn 0.0000 0.3526 0.0000
Zn3 Zn 0.2500 0.2500 0.2500
```

Principal peaks in the range 2θ = 15–90°, low angle first:
d (Å), intensity, hkl
3.170, 22.7, 2 1 1
2.702, 20.2, 0 0 2
2.567, 49.4, 3 0 1
2.299, 80.9, 2 0 2
2.214, 100.0, 3 2 1
2.188, 56.1, 4 0 0
2.035, 39.5, 2 2 2
1.446, 24.6, 3 2 3
1.283, 22.8, 6 0 2
1.268, 20.2, 6 3 1

Record 4
Diffraction record for Bi12Rh3Br2. The XRD peak list is computed, not measured: it uses the PBE geometry in the Materials Project and CuKα.

Structure:
```
data_Bi12Rh3Br2
_cell_length_a 7.3454
_cell_length_b 17.0501
_cell_length_c 32.4174
_cell_angle_alpha 90.00
_cell_angle_beta 90.00
_cell_angle_gamma 90.00
_symmetry_space_group_name_H-M 'F d d d'
_symmetry_Int_Tables_number 70
loop_
_symmetry_equiv_pos_as_xyz
'x,y,z'
'-x,-y,-z'
'-x+1/4,-y+1/4,z'
'x+1/4,y+1/4,-z'
'x,-y+1/4,-z+1/4'
'-x,y+1/4,z+1/4'
'-x+1/4,y,-z+1/4'
'x+1/4,-y,z+1/4'
'x,y+1/2,z+1/2'
'-x,-y+1/2,-z+1/2'
'-x+1/4,-y+3/4,z+1/2'
'x+1/4,y+3/4,-z+1/2'
'x,-y+3/4,-z+3/4'
'-x,y+3/4,z+3/4'
'-x+1/4,y+1/2,-z+3/4'
'x+1/4,-y+1/2,z+3/4'
'x+1/2,y,z+1/2'
'-x+1/2,-y,-z+1/2'
'-x+3/4,-y+1/4,z+1/2'
'x+3/4,y+1/4,-z+1/2'
'x+1/2,-y+1/4,-z+3/4'
'-x+1/2,y+1/4,z+3/4'
'-x+3/4,y,-z+3/4'
'x+3/4,-y,z+3/4'
'x+1/2,y+1/2,z'
'-x+1/2,-y+1/2,-z'
'-x+3/4,-y+3/4,z'
'x+3/4,y+3/4,-z'
'x+1/2,-y+3/4,-z+1/4'
'-x+1/2,y+3/4,z+1/4'
'-x+3/4,y+1/2,-z+1/4'
'x+3/4,-y+1/2,z+1/4'
loop_
_atom_site_label
_atom_site_type_symbol
_atom_site_fract_x
_atom_site_fract_y
_atom_site_fract_z
Bi1 Bi 0.0044 0.0000 0.1782
Bi2 Bi 0.0817 0.3375 0.5132
Bi3 Bi 0.0884 0.3223 0.9284
Rh1 Rh 0.0000 0.0000 0.0000
Rh2 Rh 0.1250 0.1250 0.1250
Br1 Br 0.1250 0.3335 0.6250
```

Principal peaks in the range 2θ = 15–90°, low angle first:
d (Å), intensity, hkl
3.373, 63.6, 2 2 0
3.302, 30.4, 2 2 2
3.225, 29.5, 1 3 7
3.030, 47.7, 0 2 10
2.861, 52.9, 2 2 6
2.811, 30.3, 1 3 9
2.792, 100.0, 1 5 5
2.701, 32.5, 0 0 12
2.430, 37.3, 2 0 10
2.178, 36.8, 1 7 5

Record 5
Diffraction record for TlIO4. The XRD peak list is computed, not measured: it uses the PBE geometry in the Materials Project and CuKα.

Structure:
```
data_TlIO4
_cell_length_a 5.9976
_cell_length_b 5.9976
_cell_length_c 13.2478
_cell_angle_alpha 90.00
_cell_angle_beta 90.00
_cell_angle_gamma 90.00
_symmetry_space_group_name_H-M 'I 41/a'
_symmetry_Int_Tables_number 88
loop_
_symmetry_equiv_pos_as_xyz
'x,y,z'
'-x,-y,-z'
'-y+3/4,x+1/4,z+1/4'
'y+3/4,-x+1/4,-z+1/4'
'-x+1/2,-y,z+1/2'
'x+1/2,y,-z+1/2'
'y+3/4,-x+3/4,z+3/4'
'-y+3/4,x+3/4,-z+3/4'
'x+1/2,y+1/2,z+1/2'
'-x+1/2,-y+1/2,-z+1/2'
'-y+1/4,x+3/4,z+3/4'
'y+1/4,-x+3/4,-z+3/4'
'-x,-y+1/2,z'
'x,y+1/2,-z'
'y+1/4,-x+1/4,z+1/4'
'-y+1/4,x+1/4,-z+1/4'
loop_
_atom_site_label
_atom_site_type_symbol
_atom_site_fract_x
_atom_site_fract_y
_atom_site_fract_z
Tl1 Tl 0.0000 0.2500 0.1250
I1 I 0.0000 0.2500 0.6250
O1 O 0.1202 0.0326 0.7017
```

Principal peaks in the range 2θ = 15–90°, low angle first:
d (Å), intensity, hkl
3.572, 100.0, 1 1 2
3.312, 16.9, 0 0 4
2.999, 25.3, 2 0 0
2.223, 28.3, 2 0 4
2.120, 11.4, 2 2 0
1.958, 17.4, 1 1 6
1.823, 28.3, 3 1 2
1.786, 13.8, 2 2 4
1.439, 14.8, 1 3 6
1.243, 8.0, 2 4 4

Record 6
Diffraction record for TiCrAs2. The XRD peak list is computed, not measured: it uses the PBE geometry in the Materials Project and CuKα.

Structure:
```
data_TiCrAs2
_cell_length_a 3.6401
_cell_length_b 3.6401
_cell_length_c 5.9360
_cell_angle_alpha 90.00
_cell_angle_beta 90.00
_cell_angle_gamma 120.00
_symmetry_space_group_name_H-M 'P -3 m 1'
_symmetry_Int_Tables_number 164
_symmetry_space_group_name_Hall '-P 3 2"'
loop_
_atom_site_label
_atom_site_type_symbol
_atom_site_fract_x
_atom_site_fract_y
_atom_site_fract_z
Ti1 Ti 0.0000 0.0000 0.0000
Cr1 Cr 0.0000 0.0000 0.5000
As1 As 0.3333 0.6667 0.7358
```

Principal peaks in the range 2θ = 15–90°, low angle first:
d (Å), intensity, hkl
2.784, 100.0, 1 0 1
2.161, 84.9, 0 1 2
1.820, 50.1, 1 1 0
1.676, 21.0, 1 0 3
1.523, 15.6, 0 2 1
1.484, 7.6, 0 0 4
1.392, 18.8, 2 0 2
1.168, 13.1, 2 1 1
1.150, 19.4, 1 1 4
1.106, 17.7, 1 2 2

Record 7
Diffraction record for Ho6Al7Cu16. The XRD peak list is computed, not measured: it uses the PBE geometry in the Materials Project and CuKα.

Structure:
```
data_Ho6Al7Cu16
_cell_length_a 12.3110
_cell_length_b 12.3110
_cell_length_c 12.3110
_cell_angle_alpha 90.00
_cell_angle_beta 90.00
_cell_angle_gamma 90.00
_symmetry_space_group_name_H-M 'F m -3 m'
_symmetry_Int_Tables_number 225
_symmetry_space_group_name_Hall '-F 4 2 3'
loop_
_atom_site_label
_atom_site_type_symbol
_atom_site_fract_x
_atom_site_fract_y
_atom_site_fract_z
Ho1 Ho 0.0000 0.0000 0.2095
Al1 Al 0.0000 0.0000 0.5000
Al2 Al 0.0000 0.2500 0.2500
Cu1 Cu 0.1206 0.1206 0.3794
Cu2 Cu 0.1728 0.1728 0.1728
```

Principal peaks in the range 2θ = 15–90°, low angle first:
d (Å), intensity, hkl
3.554, 57.8, 2 2 2
2.824, 15.7, 3 3 1
2.513, 29.0, 4 2 2
2.369, 100.0, 3 3 3
2.176, 86.6, 4 4 0
2.052, 18.6, 6 0 0
1.504, 15.4, 7 3 3
1.451, 23.1, 8 2 2
1.237, 16.6, 9 3 3
1.190, 19.8, 7 7 3

Record 8
Diffraction record for LaWN3. The XRD peak list is computed, not measured: it uses the PBE geometry in the Materials Project and CuKα.

Structure:
```
data_LaWN3
_cell_length_a 3.9094
_cell_length_b 3.9094
_cell_length_c 4.5528
_cell_angle_alpha 90.00
_cell_angle_beta 90.00
_cell_angle_gamma 90.00
_symmetry_space_group_name_H-M 'P 4 m m'
_symmetry_Int_Tables_number 99
loop_
_symmetry_equiv_pos_as_xyz
'x,y,z'
'-y,x,z'
'-x,-y,z'
'y,-x,z'
'-x,y,z'
'y,x,z'
'x,-y,z'
'-y,-x,z'
loop_
_atom_site_label
_atom_site_type_symbol
_atom_site_fract_x
_atom_site_fract_y
_atom_site_fract_z
La1 La 0.0000 0.0000 0.0000
W1 W 0.5000 0.5000 0.4525
N1 N 0.0000 0.5000 0.3470
N2 N 0.5000 0.5000 0.8504
```

Principal peaks in the range 2θ = 15–90°, low angle first:
d (Å), intensity, hkl
2.966, 100.0, 1 0 1
2.764, 41.3, 1 1 0
2.276, 12.2, 0 0 2
1.955, 20.6, 2 0 0
1.757, 22.0, 1 1 2
1.632, 35.1, 2 1 1
1.483, 12.7, 2 0 2
1.415, 10.0, 1 0 3
1.253, 7.3, 3 0 1
1.146, 10.3, 2 1 3

Record 9
Diffraction record for ThGeSe. The XRD peak list is computed, not measured: it uses the PBE geometry in the Materials Project and CuKα.

Structure:
```
data_ThGeSe
_cell_length_a 4.0736
_cell_length_b 4.0736
_cell_length_c 17.5466
_cell_angle_alpha 90.00
_cell_angle_beta 90.00
_cell_angle_gamma 90.00
_symmetry_space_group_name_H-M 'I 4/m m m'
_symmetry_Int_Tables_number 139
_symmetry_space_group_name_Hall '-I 4 2'
loop_
_atom_site_label
_atom_site_type_symbol
_atom_site_fract_x
_atom_site_fract_y
_atom_site_fract_z
Th1 Th 0.0000 0.0000 0.1332
Ge1 Ge 0.0000 0.5000 0.0000
Se1 Se 0.0000 0.0000 0.3127
```

Principal peaks in the range 2θ = 15–90°, low angle first:
d (Å), intensity, hkl
4.387, 26.6, 0 0 4
3.968, 58.3, 1 0 1
3.343, 30.3, 1 0 3
2.880, 48.5, 1 1 0
2.737, 39.4, 1 1 2
2.659, 52.6, 1 0 5
2.408, 100.0, 1 1 4
2.135, 44.4, 1 0 7
2.037, 50.6, 2 0 0
1.474, 27.9, 2 1 7